[1]
Diffraction record for PrPaPd14. The powder X-ray diffraction pattern is theoretical, not measured: it uses the PBE geometry in Alexandria and Cu Kα X-rays.

Crystal structure
Cell lengths 5.883, 5.883, 7.799 Å; angles 90.00, 90.00, 90.00 degrees
Space group P4/mmm (No. 123)
Inequivalent atoms, fractional coordinates:
Pr: 0.000 0.000 0.000 [1 per cell]
Pa: 0.500 0.500 0.000 [1 per cell]
Pd: 0.000 0.000 0.500 [1 per cell]
Pd: 0.000 0.500 0.000 [2 per cell]
Pd: 0.000 0.500 0.500 [2 per cell]
Pd: 0.257 0.257 0.257 [8 per cell]
Pd: 0.500 0.500 0.500 [1 per cell]

Most intense lines, 10° ≤ 2θ ≤ 80°, sorted by position:
(0 0 1), 11.3°, d 7.799, intensity 1; (1 0 0), 15.1°, d 5.883, intensity 2; (1 1 0), 21.4°, d 4.160, intensity 1; (1 1 1), 24.2°, d 3.671, intensity 2; (1 1 2), 31.4°, d 2.845, intensity 1; (2 0 1), 32.5°, d 2.752, intensity 2; (2 0 2), 38.3°, d 2.348, intensity 100; (2 2 0), 43.5°, d 2.080, intensity 35; (0 0 4), 46.6°, d 1.950, intensity 14; (4 0 0), 63.2°, d 1.471, intensity 11; (2 2 4), 65.6°, d 1.423, intensity 20; (4 2 2), 76.4°, d 1.247, intensity 25

=====

[2]
Diffraction record for PaPd5Pt6. The powder X-ray diffraction pattern is theoretical, not measured: it uses the PBE geometry in Alexandria and Cu Kα X-rays.

Crystal structure
Cell lengths 4.049, 8.147, 11.906 Å; angles 90.00, 90.00, 90.00 degrees
Space group Immm (No. 71)
Inequivalent atoms, fractional coordinates:
Pa: 0.000 0.000 0.000 [2 per cell]
Pd: 0.000 0.000 0.334 [4 per cell]
Pd: 0.000 0.500 0.000 [2 per cell]
Pd: 0.000 0.500 0.332 [4 per cell]
Pt: 0.000 0.247 0.500 [4 per cell]
Pt: 0.000 0.251 0.167 [8 per cell]

Most intense lines, 10° ≤ 2θ ≤ 80°, sorted by position:
(0 2 0), 21.8°, d 4.074, intensity 4; (1 0 3), 31.6°, d 2.834, intensity 3; (1 2 3), 38.7°, d 2.327, intensity 100; (0 4 0), 44.5°, d 2.037, intensity 17; (2 0 0), 44.8°, d 2.024, intensity 17; (0 0 6), 45.7°, d 1.984, intensity 16; (2 4 0), 64.9°, d 1.436, intensity 11; (0 4 6), 65.7°, d 1.421, intensity 11; (2 0 6), 65.9°, d 1.417, intensity 11; (1 6 3), 78.0°, d 1.225, intensity 13; (3 2 3), 78.4°, d 1.219, intensity 13; (1 2 9), 79.8°, d 1.202, intensity 12

=====

[3]
Diffraction record for Pa3Pd4Pt3. The powder X-ray diffraction pattern is theoretical, not measured: it uses the PBE geometry in Alexandria and Cu Kα X-rays.

Crystal structure
Cell lengths 10.448, 10.448, 7.171 Å; angles 90.00, 90.00, 90.00 degrees
Space group I-42d (No. 122)
Inequivalent atoms, fractional coordinates:
Pa: 0.000 0.000 0.000 [4 per cell]
Pa: 0.088 0.750 0.625 [8 per cell]
Pd: 0.144 0.654 0.998 [16 per cell]
Pt: 0.000 0.000 0.500 [4 per cell]
Pt: 0.101 0.250 0.125 [8 per cell]

Most intense lines, 10° ≤ 2θ ≤ 80°, sorted by position:
(2 0 2), 30.2°, d 2.956, intensity 64; (3 2 1), 33.3°, d 2.687, intensity 72; (3 1 2), 37.0°, d 2.430, intensity 100; (4 1 1), 37.6°, d 2.389, intensity 40; (4 2 0), 38.5°, d 2.336, intensity 98; (2 1 3), 42.5°, d 2.128, intensity 60; (4 0 2), 42.8°, d 2.111, intensity 39; (5 2 1), 48.6°, d 1.873, intensity 48; (2 2 4), 57.1°, d 1.613, intensity 20; (4 4 4), 73.6°, d 1.286, intensity 29; (7 3 2), 74.0°, d 1.281, intensity 20; (6 0 4), 76.2°, d 1.249, intensity 35

=====

[4]
Diffraction record for PaPd5Pt2. The powder X-ray diffraction pattern is theoretical, not measured: it uses the PBE geometry in Alexandria and Cu Kα X-rays.

Crystal structure
Cell lengths 5.751, 11.345, 4.095 Å; angles 90.00, 90.00, 90.00 degrees
Space group Pbam (No. 55)
Inequivalent atoms, fractional coordinates:
Pa: 0.000 0.000 0.000 [2 per cell]
Pd: 0.000 0.500 0.000 [2 per cell]
Pd: 0.004 0.246 0.000 [4 per cell]
Pd: 0.243 0.626 0.500 [4 per cell]
Pt: 0.249 0.876 0.500 [4 per cell]

Most intense lines, 10° ≤ 2θ ≤ 80°, sorted by position:
(1 2 0), 22.0°, d 4.039, intensity 8; (1 2 1), 31.1°, d 2.876, intensity 7; (2 0 1), 38.2°, d 2.353, intensity 100; (0 4 1), 38.6°, d 2.332, intensity 97; (0 0 2), 44.2°, d 2.048, intensity 33; (2 4 0), 44.9°, d 2.019, intensity 64; (2 4 2), 64.8°, d 1.438, intensity 53; (0 8 0), 65.9°, d 1.418, intensity 10; (2 0 3), 77.4°, d 1.233, intensity 13; (0 4 3), 77.6°, d 1.230, intensity 13; (4 4 1), 78.1°, d 1.224, intensity 25; (2 8 1), 78.8°, d 1.215, intensity 24

=====

[5]
Diffraction record for Pa4Pd6Pt7. The powder X-ray diffraction pattern is theoretical, not measured: it uses the PBE geometry in Alexandria and Cu Kα X-rays.

Crystal structure
Cell lengths 8.571, 8.571, 8.571 Å; angles 90.00, 90.00, 90.00 degrees
Space group Im-3m (No. 229)
Inequivalent atoms, fractional coordinates:
Pa: 0.250 0.250 0.250 [8 per cell]
Pd: 0.000 0.000 0.303 [12 per cell]
Pt: 0.000 0.000 0.000 [2 per cell]
Pt: 0.000 0.250 0.500 [12 per cell]

Most intense lines, 10° ≤ 2θ ≤ 80°, sorted by position:
(2 1 1), 25.5°, d 3.499, intensity 9; (2 2 0), 29.5°, d 3.030, intensity 16; (2 2 2), 36.3°, d 2.474, intensity 100; (3 2 1), 39.3°, d 2.291, intensity 23; (4 0 0), 42.2°, d 2.143, intensity 66; (3 3 2), 49.9°, d 1.827, intensity 13; (4 4 0), 61.2°, d 1.515, intensity 39; (6 1 1), 67.3°, d 1.390, intensity 5; (6 2 0), 69.3°, d 1.355, intensity 6; (6 2 2), 73.3°, d 1.292, intensity 32; (6 3 1), 75.2°, d 1.264, intensity 8; (4 4 4), 77.1°, d 1.237, intensity 12

=====

[6]
Diffraction record for Pa2Pd3Pt3. The powder X-ray diffraction pattern is theoretical, not measured: it uses the PBE geometry in Alexandria and Cu Kα X-rays.

Crystal structure
Cell lengths 7.219, 7.844, 5.340 Å; angles 90.00, 98.67, 90.00 degrees
Space group C2 (No. 5)
Inequivalent atoms, fractional coordinates:
Pa: 0.221 0.000 0.218 [4 per cell]
Pd: 0.000 0.752 0.500 [2 per cell]
Pd: 0.121 0.374 0.254 [4 per cell]
Pt: 0.000 0.700 0.000 [2 per cell]
Pt: 0.150 0.147 0.699 [4 per cell]

Most intense lines, 10° ≤ 2θ ≤ 80°, sorted by position:
(1 1 -1), 22.5°, d 3.960, intensity 17; (2 2 0), 34.0°, d 2.639, intensity 55; (1 1 -2), 36.3°, d 2.474, intensity 26; (1 3 0), 36.6°, d 2.455, intensity 13; (2 0 -2), 39.3°, d 2.294, intensity 32; (1 3 -1), 39.6°, d 2.273, intensity 100; (1 1 2), 39.9°, d 2.262, intensity 73; (3 1 -1), 40.8°, d 2.209, intensity 19; (0 2 2), 41.2°, d 2.190, intensity 18; (1 3 1), 41.4°, d 2.183, intensity 17; (4 4 0), 71.5°, d 1.320, intensity 20; (0 4 3), 72.1°, d 1.310, intensity 12

=====

[7]
Diffraction record for Pa2Pd7Pt. The powder X-ray diffraction pattern is theoretical, not measured: it uses the PBE geometry in Alexandria and Cu Kα X-rays.

Crystal structure
Cell lengths 7.315, 14.832, 3.845 Å; angles 90.00, 90.00, 90.00 degrees
Space group Cmmm (No. 65)
Inequivalent atoms, fractional coordinates:
Pa: 0.000 0.184 0.000 [4 per cell]
Pd: 0.000 0.000 0.000 [2 per cell]
Pd: 0.000 0.311 0.500 [4 per cell]
Pd: 0.193 0.400 0.000 [8 per cell]
Pt: 0.000 0.500 0.500 [2 per cell]

Most intense lines, 10° ≤ 2θ ≤ 80°, sorted by position:
(1 3 0), 21.7°, d 4.096, intensity 15; (0 0 1), 23.1°, d 3.845, intensity 33; (2 0 0), 24.3°, d 3.657, intensity 34; (1 1 1), 26.9°, d 3.317, intensity 51; (0 4 1), 33.6°, d 2.669, intensity 17; (2 4 0), 34.4°, d 2.604, intensity 20; (1 5 1), 40.3°, d 2.236, intensity 100; (2 6 0), 44.2°, d 2.048, intensity 40; (3 1 1), 44.4°, d 2.039, intensity 52; (0 0 2), 47.3°, d 1.922, intensity 28; (2 6 2), 66.7°, d 1.402, intensity 24; (5 5 1), 76.8°, d 1.242, intensity 24

=====

[8]
Diffraction record for Pa2Pd5Pt. The powder X-ray diffraction pattern is theoretical, not measured: it uses the PBE geometry in Alexandria and Cu Kα X-rays.

Crystal structure
Cell lengths 5.656, 6.685, 7.716 Å; angles 90.00, 90.07, 90.00 degrees
Space group P2/c (No. 13)
Inequivalent atoms, fractional coordinates:
Pa: 0.247 0.247 0.455 [4 per cell]
Pd: 0.000 0.458 0.750 [2 per cell]
Pd: 0.255 0.252 0.034 [4 per cell]
Pd: 0.500 0.045 0.750 [2 per cell]
Pd: 0.500 0.459 0.750 [2 per cell]
Pt: 0.000 0.043 0.750 [2 per cell]

Most intense lines, 10° ≤ 2θ ≤ 80°, sorted by position:
(1 1 1), 23.6°, d 3.768, intensity 25; (0 2 2), 35.5°, d 2.526, intensity 100; (2 1 1), 36.4°, d 2.467, intensity 17; (0 1 3), 37.5°, d 2.400, intensity 30; (2 0 -2), 39.5°, d 2.281, intensity 86; (2 2 0), 41.8°, d 2.159, intensity 76; (0 3 1), 42.2°, d 2.141, intensity 17; (0 0 4), 47.1°, d 1.929, intensity 16; (2 3 3), 64.4°, d 1.447, intensity 24; (2 2 -4), 64.8°, d 1.438, intensity 23; (2 4 -2), 69.8°, d 1.348, intensity 19; (4 2 -2), 77.3°, d 1.234, intensity 21